Diffraction record for Mn2V3CrP6O24. The powder X-ray diffraction pattern is theoretical, not measured: it uses a PBE+U-relaxed structure and a wavelength of 1.5418 Å.

Peak list (8 most intense, 10° ≤ 2θ ≤ 90°, most intense first)
2theta	Rel. int.
24.22	100
20.61	78
32.85	69
56.50	35
36.11	33
47.14	28
49.61	25
62.86	22

Structure:
Cell: 8.624 8.624 8.624 Å, 59.95 59.95 59.95°
Atoms (fractional coordinates):
Mn  0.000  0.000  0.000
Mn  0.499  0.499  0.499
V  0.144  0.144  0.144
V  0.356  0.356  0.356
V  0.855  0.855  0.855
Cr  0.642  0.642  0.642
P  0.039  0.458  0.749
P  0.249  0.958  0.541
P  0.458  0.749  0.039
P  0.541  0.249  0.958
P  0.749  0.039  0.458
P  0.958  0.541  0.249
O  0.003  0.619  0.808
O  0.063  0.263  0.914
O  0.084  0.940  0.736
O  0.118  0.505  0.307
O  0.185  0.999  0.383
O  0.235  0.442  0.585
O  0.263  0.914  0.063
O  0.307  0.118  0.505
O  0.383  0.185  0.999
O  0.413  0.764  0.554
O  0.442  0.585  0.235
O  0.490  0.695  0.881
O  0.505  0.307  0.118
O  0.554  0.413  0.764
O  0.585  0.235  0.442
O  0.619  0.808  0.003
O  0.695  0.881  0.490
O  0.736  0.084  0.940
O  0.764  0.554  0.413
O  0.808  0.003  0.619
O  0.881  0.490  0.695
O  0.914  0.063  0.263
O  0.940  0.736  0.084
O  0.999  0.383  0.185